Structure and calculated X-ray diffraction stick pattern of NaTbEuWO6 (a structure optimized by DFT (PBE+U); a wavelength of 1.5418 Å).
No peak broadening, texture or thermal motion is included.

Most intense lines, 10° ≤ 2θ ≤ 90°, by intensity:
2θ (°), d_spacing, I (rel.)
30.26, 2.953, 100
53.76, 1.705, 41
43.33, 2.088, 30
87.36, 1.116, 22
21.27, 4.177, 20
62.94, 1.477, 18
71.42, 1.321, 18
18.40, 4.823, 17
35.65, 2.519, 9
48.75, 1.868, 8

Atomic structure:
```
NaTbEuWO6
1.0
0.0000 4.1766 4.1766
4.1766 0.0000 4.1766
4.1766 4.1766 0.0000
Na Tb Eu W O
1 1 1 1 6
direct
0.0000 0.0000 0.0000
0.7500 0.7500 0.7500
0.5000 0.5000 0.5000
0.2500 0.2500 0.2500
0.0168 0.0168 0.4832
0.0168 0.4832 0.0168
0.0168 0.4832 0.4832
0.4832 0.0168 0.0168
0.4832 0.0168 0.4832
0.4832 0.4832 0.0168
```